Simulated X-ray powder pattern
Compound: KCrAsO6
Radiation: λ = 1.5418 Å (Cu Kα)
Structure: DFT lattice parameters and positions (GGA+U)
No peak broadening, texture or thermal motion is included.

Crystal structure
Cell: 4.9757 4.9757 6.0413 Å, 90.00 90.00 120.00°
Space group P3 (No. 143)
Symmetry-distinct sites (fractional):
K: 0.0000 0.0000 0.0000 x1
Cr: 0.3333 0.6667 0.4820 x1
As: 0.6667 0.3333 0.5387 x1
O: 0.0103 0.4052 0.6899 x3
O: 0.3912 0.3876 0.3408 x3

Principal peaks in the range 2θ = 10–80°, low angle first:
two_theta  Rel. int.  (hkl)
14.66  84  0 0 1
20.61  14  1 0 0
25.39  100  0 1 1
36.10  23  1 1 0
39.16  20  2 -1 1
44.65  12  2 0 1
47.34  46  2 -1 2
58.71  16  3 -2 1
63.20  11  2 0 3
64.92  11  3 0 0